This entry pairs a crystal structure of Ba6Nb2O11 with its theoretical X-ray diffraction stick pattern. Radiation: a wavelength of 1.5418 Å. Structure: a PBE-relaxed structure.

Principal peaks in the range 2θ from 15° to 90°, by angle:
2θ = 27.10°, intensity 8, hkl 2 1 3; 2θ = 28.12°, intensity 51, hkl 2 2 0; 2θ = 28.72°, intensity 100, hkl 2 0 4; 2θ = 33.78°, intensity 9, hkl 3 0 3; 2θ = 40.20°, intensity 28, hkl 4 0 0; 2θ = 41.91°, intensity 12, hkl 0 0 8; 2θ = 50.15°, intensity 28, hkl 4 2 4; 2θ = 51.22°, intensity 15, hkl 2 2 8; 2θ = 52.25°, intensity 8, hkl 3 2 7; 2θ = 59.47°, intensity 10, hkl 4 0 8

Atomic structure:
Lattice parameters (Å, degrees): 8.9740 8.9740 17.2432 90.00 90.00 90.00
Space group I4/mmm (No. 139)
Inequivalent atoms, fractional coordinates:
Ba  0.0000  0.0000  0.2134
Ba  0.0000  0.5000  0.0000
Ba  0.2180  0.2180  0.3682
Nb  0.0000  0.0000  0.0000
Nb  0.0000  0.0000  0.5000
Nb  0.0000  0.5000  0.2500
O  0.0000  0.0000  0.3789
O  0.0000  0.2157  0.0000
O  0.0000  0.2204  0.5000
O  0.0000  0.2711  0.2545
O  0.0000  0.5000  0.1377



This entry pairs a crystal structure of Ba2Nb5O9 with its theoretical X-ray diffraction stick pattern. Radiation: a wavelength of 1.5418 Å. Structure: a PBE-relaxed structure.

Principal peaks in the range 2θ from 15° to 90°, by angle:
2θ = 30.12°, intensity 17, hkl 1 1 0; 2θ = 30.51°, intensity 100, hkl 1 0 3; 2θ = 31.01°, intensity 34, hkl 1 1 1; 2θ = 33.55°, intensity 27, hkl 1 1 2; 2θ = 42.37°, intensity 17, hkl 1 1 4; 2θ = 43.11°, intensity 52, hkl 2 0 0; 2θ = 44.28°, intensity 24, hkl 0 0 6; 2θ = 53.74°, intensity 40, hkl 2 1 3; 2θ = 62.61°, intensity 16, hkl 2 2 0; 2θ = 63.51°, intensity 30, hkl 2 0 6

Atomic structure:
Lattice parameters (Å, degrees): 4.1965 4.1965 12.2743 90.00 90.00 90.00
Space group P4/mmm (No. 123)
Inequivalent atoms, fractional coordinates:
Ba  0.0000  0.0000  0.1677
Nb  0.0000  0.5000  0.5000
Nb  0.5000  0.5000  0.0000
Nb  0.5000  0.5000  0.3367
O  0.0000  0.0000  0.5000
O  0.0000  0.5000  0.0000
O  0.0000  0.5000  0.3267
O  0.5000  0.5000  0.1622



This entry pairs a crystal structure of Ba4Nb4O11 with its theoretical X-ray diffraction stick pattern. Radiation: a wavelength of 1.5418 Å. Structure: a PBE-relaxed structure.

Principal peaks in the range 2θ from 15° to 90°, by angle:
2θ = 30.69°, intensity 100, hkl 1 2 1; 2θ = 37.82°, intensity 6, hkl 2 2 0; 2θ = 43.96°, intensity 30, hkl 2 0 2; 2θ = 54.56°, intensity 39, hkl 3 2 1; 2θ = 63.91°, intensity 18, hkl 4 0 0; 2θ = 72.47°, intensity 6, hkl 1 6 1; 2θ = 72.61°, intensity 11, hkl 3 2 3; 2θ = 80.82°, intensity 6, hkl 4 4 0; 2θ = 88.85°, intensity 14, hkl 3 6 1; 2θ = 88.94°, intensity 7, hkl 5 2 1

Atomic structure:
Lattice parameters (Å, degrees): 5.8222 8.2506 5.8223 90.00 90.00 90.00
Space group Pm (No. 6)
Inequivalent atoms, fractional coordinates:
Ba  0.0000  0.0000  0.0000
Ba  0.0007  0.5000  0.9998
Ba  0.5000  0.0000  0.4997
Ba  0.5007  0.5000  0.4999
Nb  0.0004  0.2483  0.4999
Nb  0.5004  0.2490  0.9998
O  0.0001  0.0000  0.5009
O  0.2487  0.2516  0.7504
O  0.2509  0.2507  0.2515
O  0.5001  0.0000  0.9989
O  0.5007  0.5000  0.0011
O  0.7498  0.2515  0.7483
O  0.7520  0.2506  0.2494



This entry pairs a crystal structure of Ba3Nb16O23 with its theoretical X-ray diffraction stick pattern. Radiation: a wavelength of 1.5418 Å. Structure: a PBE-relaxed structure.

Principal peaks in the range 2θ from 15° to 90°, by angle:
2θ = 30.17°, intensity 100, hkl 3 5 0; 2θ = 30.54°, intensity 66, hkl 3 1 1; 2θ = 30.96°, intensity 92, hkl 1 5 1; 2θ = 37.17°, intensity 47, hkl 3 5 1; 2θ = 42.99°, intensity 73, hkl 0 10 0; 2θ = 43.19°, intensity 73, hkl 0 0 2; 2θ = 43.38°, intensity 68, hkl 6 0 0; 2θ = 62.58°, intensity 42, hkl 0 10 2; 2θ = 62.73°, intensity 41, hkl 6 10 0; 2θ = 62.88°, intensity 42, hkl 6 0 2

Atomic structure:
Lattice parameters (Å, degrees): 12.5154 21.0358 4.1893 90.00 90.00 90.00
Space group Cmmm (No. 65)
Inequivalent atoms, fractional coordinates:
Ba  0.0000  0.0000  0.0000
Ba  0.0000  0.2010  0.0000
Nb  0.0000  0.3988  0.5000
Nb  0.1673  0.3044  0.5000
Nb  0.1685  0.1009  0.5000
Nb  0.1715  0.3981  0.0000
Nb  0.1723  0.5000  0.5000
O  0.0000  0.1028  0.5000
O  0.0000  0.2984  0.5000
O  0.0000  0.4037  0.0000
O  0.0000  0.5000  0.5000
O  0.1587  0.0000  0.5000
O  0.1602  0.0992  0.0000
O  0.1603  0.2998  0.0000
O  0.1643  0.1997  0.5000
O  0.1664  0.5000  0.0000



This entry pairs a crystal structure of Ba4Nb2O9 with its theoretical X-ray diffraction stick pattern. Radiation: a wavelength of 1.5418 Å. Structure: a PBE-relaxed structure.

Principal peaks in the range 2θ from 15° to 90°, by angle:
2θ = 27.80°, intensity 99, hkl 1 0 4; 2θ = 29.09°, intensity 100, hkl 1 1 0; 2θ = 40.67°, intensity 50, hkl 2 0 4; 2θ = 50.78°, intensity 37, hkl 1 2 4; 2θ = 51.56°, intensity 25, hkl 3 0 0; 2θ = 54.53°, intensity 18, hkl 1 1 8; 2θ = 60.29°, intensity 16, hkl 2 2 0; 2θ = 67.66°, intensity 16, hkl 1 3 4; 2θ = 82.65°, intensity 11, hkl 3 2 4; 2θ = 83.27°, intensity 12, hkl 1 4 0

Atomic structure:
Lattice parameters (Å, degrees): 6.1402 6.1402 16.0957 90.00 90.00 120.00
Space group P6_3/m (No. 176)
Inequivalent atoms, fractional coordinates:
Ba  0.0000  0.0000  0.0000
Ba  0.0000  0.0000  0.2500
Ba  0.3333  0.6667  0.1312
Nb  0.3333  0.6667  0.6569
O  0.0424  0.4642  0.7500
O  0.1014  0.7445  0.6048